Starting from a PBE-relaxed structure, the XRD peak list of Pm2HoGa2Ag2 was computed for Cu Kα (weighted mean of Kα1 and Kα2).
Kinematic intensities with the Lorentz-polarization factor, no thermal factor.

Lattice parameters (Å, degrees): 4.6198 4.6198 27.3714 90.00 90.00 120.00
Space group R-3m (No. 166, hexagonal axes)
Symmetry-distinct sites (fractional):
Pm: 0.0000 0.0000 0.1247 [6 per cell]
Ho: 0.0000 0.0000 0.0000 [3 per cell]
Ga: 0.0000 0.0000 0.2630 [6 per cell]
Ag: 0.0000 0.0000 0.3922 [6 per cell]

Largest 10 diffraction maxima, low angle first, 2θ = 5–70°:
- 22.46°, intensity 19, hkl 1 0 1
- 25.79°, intensity 16, hkl 1 0 4
- 32.00°, intensity 46, hkl 1 0 7
- 34.49°, intensity 100, hkl 0 1 8
- 38.99°, intensity 95, hkl 1 1 0
- 51.30°, intensity 12, hkl 0 2 7
- 53.03°, intensity 29, hkl 2 0 8
- 65.15°, intensity 27, hkl 1 1 15
- 66.27°, intensity 11, hkl 2 1 7
- 67.75°, intensity 27, hkl 1 2 8